The following is a calculated powder XRD pattern of Pr7AlS5. It was derived from a cell relaxed with PBE, using CuKα.
Neutral-atom scattering factors, no anomalous dispersion.

Cell and atoms:
```
Pr7AlS5
1.0
4.094 0.000 0.000
2.039 6.838 0.000
0.000 0.008 24.617
Pr Al S
14 2 10
Direct
0.025 0.451 0.250
0.136 0.228 0.964
0.137 0.227 0.536
0.319 0.861 0.174
0.319 0.862 0.326
0.409 0.681 0.609
0.409 0.683 0.891
0.591 0.317 0.109
0.591 0.319 0.391
0.681 0.138 0.674
0.681 0.139 0.826
0.863 0.773 0.464
0.864 0.772 0.036
0.975 0.549 0.750
0.304 0.892 0.750
0.696 0.108 0.250
0.046 0.408 0.641
0.046 0.408 0.859
0.226 0.048 0.071
0.227 0.047 0.429
0.500 0.500 0.000
0.500 0.500 0.500
0.773 0.953 0.571
0.774 0.952 0.929
0.954 0.592 0.141
0.954 0.592 0.359
```

Largest 10 diffraction maxima, by angle, 5° ≤ 2θ ≤ 70°:
Position (°2θ), d (Å), I_rel
26.32, 3.386, 29
26.96, 3.307, 59
28.54, 3.127, 100
30.23, 2.957, 88
31.33, 2.855, 59
31.89, 2.806, 28
43.80, 2.067, 33
44.25, 2.047, 32
52.00, 1.759, 29
53.50, 1.713, 35

The following is a calculated powder XRD pattern of PrAlSe3. It was derived from a cell relaxed with PBE, using CuKα.
Neutral-atom scattering factors, no anomalous dispersion.

Cell and atoms:
```
PrAlSe3
1.0
7.365 0.000 0.000
0.000 7.248 0.000
0.000 0.000 10.225
Pr Al Se
4 4 12
Direct
0.119 0.085 0.000
0.381 0.585 0.500
0.619 0.415 0.000
0.881 0.915 0.500
0.210 0.647 0.144
0.290 0.147 0.644
0.710 0.853 0.144
0.790 0.353 0.644
0.057 0.305 0.505
0.189 0.845 0.689
0.200 0.852 0.326
0.300 0.352 0.826
0.311 0.345 0.189
0.443 0.805 0.005
0.557 0.195 0.505
0.689 0.655 0.689
0.700 0.648 0.326
0.800 0.148 0.826
0.811 0.155 0.189
0.943 0.695 0.005
```

Largest 10 diffraction maxima, by angle, 5° ≤ 2θ ≤ 70°:
Position (°2θ), d (Å), I_rel
17.17, 5.166, 51
17.35, 5.112, 38
28.81, 3.099, 95
29.90, 2.988, 38
31.45, 2.845, 100
32.41, 2.762, 83
32.64, 2.744, 62
35.88, 2.503, 58
38.28, 2.352, 43
39.76, 2.267, 31